[1]
Diffraction record for LiCrP3O9. The XRD peak list is simulated, not measured: it uses a structure optimized by DFT (PBE+U) and Cu Kα.
Lines closer than 0.1° are merged.

Structure:
```
data_LiCrP3O9
_cell_length_a 8.4128
_cell_length_b 8.7555
_cell_length_c 9.0669
_cell_angle_alpha 90.00
_cell_angle_beta 90.00
_cell_angle_gamma 90.00
_space_group_name_H-M_alt 'P 21 21 21'
_space_group_IT_number 19
_space_group_name_Hall 'P 2ac 2ab'
loop_
_atom_site_label
_atom_site_type_symbol
_atom_site_fract_x
_atom_site_fract_y
_atom_site_fract_z
Li1 Li 0.1547 0.1335 0.3822
Cr1 Cr 0.1294 0.8540 0.1621
P1 P 0.0292 0.3218 0.6854
P2 P 0.1864 0.4780 0.1888
P3 P 0.2008 0.8078 0.5649
O1 O 0.0374 0.7735 0.6555
O2 O 0.0888 0.6093 0.1325
O3 O 0.1036 0.8727 0.9123
O4 O 0.1185 0.3855 0.3157
O5 O 0.1343 0.1958 0.6253
O6 O 0.1400 0.4639 0.7364
O7 O 0.1592 0.8586 0.4128
O8 O 0.1899 0.0953 0.1582
O9 O 0.2281 0.3645 0.0540
```

The 10 most intense peaks (2θ = 10–90°), sorted by position:
2theta, I_rel
19.6, 26
22.3, 100
22.9, 71
24.5, 19
24.9, 21
25.5, 34
31.1, 16
31.3, 32
32.5, 42
33.4, 31


[2]
Diffraction record for Na2MnCdFeP3O12. The XRD peak list is simulated, not measured: it uses a structure optimized by DFT (PBE+U) and Cu Kα.
Lines closer than 0.1° are merged.

Structure:
```
data_Na2MnCdFeP3O12
_cell_length_a 12.2868
_cell_length_b 12.8515
_cell_length_c 6.6471
_cell_angle_alpha 90.00
_cell_angle_beta 114.43
_cell_angle_gamma 90.00
_space_group_name_H-M_alt 'C 1 2 1'
_space_group_IT_number 5
_space_group_name_Hall 'C 2y'
loop_
_atom_site_label
_atom_site_type_symbol
_atom_site_fract_x
_atom_site_fract_y
_atom_site_fract_z
Na1 Na 0.0000 0.0000 0.0000
Na2 Na 0.0000 0.0446 0.5000
Na3 Na 0.0001 0.5217 0.2493
Mn1 Mn 0.2231 0.1721 0.8890
Cd1 Cd 0.0000 0.2908 0.0000
Cd2 Cd 0.0000 0.7500 0.5000
Fe1 Fe 0.2247 0.8622 0.3838
P1 P 0.0000 0.3045 0.5000
P2 P 0.0000 0.7397 0.0000
P3 P 0.2344 0.9135 0.8756
P4 P 0.2376 0.1251 0.3783
O1 O 0.0417 0.2346 0.7080
O2 O 0.0536 0.8132 0.2096
O3 O 0.0911 0.6686 0.9660
O4 O 0.1001 0.3793 0.4986
O5 O 0.1292 0.6116 0.5754
O6 O 0.1321 0.4323 0.0714
O7 O 0.1599 0.0142 0.8434
O8 O 0.1624 0.1740 0.1491
O9 O 0.1764 0.8517 0.6492
O10 O 0.1796 0.0149 0.3743
O11 O 0.2243 0.8493 0.0666
O12 O 0.2277 0.1955 0.5620
```

The 10 most intense peaks (2θ = 10–90°), sorted by position:
2theta, I_rel
13.8, 85
20.6, 31
21.1, 24
28.1, 29
29.5, 25
30.5, 33
32.0, 46
32.1, 100
34.4, 45
41.8, 34


[3]
Diffraction record for Na2FeO3. The XRD peak list is simulated, not measured: it uses a structure optimized by DFT (PBE+U) and Cu Kα.
Lines closer than 0.1° are merged.

Structure:
```
data_Na2FeO3
_cell_length_a 5.3650
_cell_length_b 9.3109
_cell_length_c 5.7760
_cell_angle_alpha 90.00
_cell_angle_beta 108.62
_cell_angle_gamma 90.00
_space_group_name_H-M_alt 'C 1 2/m 1'
_space_group_IT_number 12
_space_group_name_Hall '-C 2y'
loop_
_atom_site_label
_atom_site_type_symbol
_atom_site_fract_x
_atom_site_fract_y
_atom_site_fract_z
Na1 Na 0.0000 0.0000 0.0000
Na2 Na 0.0000 0.1586 0.5000
Na3 Na 0.0000 0.5000 0.5000
Fe1 Fe 0.0000 0.3334 0.0000
O1 O 0.1920 0.5000 0.2050
O2 O 0.2387 0.3107 0.7976
```

The 10 most intense peaks (2θ = 10–90°), sorted by position:
2theta, I_rel
16.2, 61
19.9, 16
21.9, 13
32.7, 18
35.1, 26
40.0, 50
40.2, 100
56.3, 28
56.8, 14
59.7, 25


[4]
Diffraction record for Ca2MnAl2Si4BO16. The XRD peak list is simulated, not measured: it uses a structure optimized by DFT (PBE+U) and Cu Kα.
Lines closer than 0.1° are merged.

Structure:
```
data_Ca2MnAl2Si4BO16
_cell_length_a 7.2354
_cell_length_b 9.0571
_cell_length_c 9.2623
_cell_angle_alpha 88.10
_cell_angle_beta 76.96
_cell_angle_gamma 81.87
_space_group_name_H-M_alt 'P -1'
_space_group_IT_number 2
_space_group_name_Hall '-P 1'
loop_
_atom_site_label
_atom_site_type_symbol
_atom_site_fract_x
_atom_site_fract_y
_atom_site_fract_z
Ca1 Ca 0.1826 0.4152 0.0972
Ca2 Ca 0.2445 0.8938 0.6592
Mn1 Mn 0.2337 0.6109 0.4032
Al1 Al 0.0490 0.2433 0.8061
Al2 Al 0.3469 0.0792 0.9381
Si1 Si 0.2104 0.2612 0.4511
Si2 Si 0.2209 0.9735 0.2752
Si3 Si 0.2966 0.5125 0.7434
Si4 Si 0.3575 0.7317 0.9795
B1 B 0.4600 0.2137 0.6335
O1 O 0.0234 0.9319 0.2463
O2 O 0.0551 0.3126 0.6048
O3 O 0.1027 0.1882 0.9915
O4 O 0.1208 0.4340 0.8457
O5 O 0.1343 0.1237 0.3784
O6 O 0.2095 0.6755 0.1274
O7 O 0.2259 0.6384 0.6324
O8 O 0.2304 0.3989 0.3363
O9 O 0.2842 0.8859 0.8984
O10 O 0.3256 0.1460 0.7447
O11 O 0.3292 0.8505 0.3796
O12 O 0.3814 0.0037 0.1280
O13 O 0.3936 0.5894 0.8624
O14 O 0.4202 0.1881 0.4861
O15 O 0.4377 0.2563 0.9817
O16 O 0.4606 0.3787 0.6546
```

The 10 most intense peaks (2θ = 10–90°), sorted by position:
2theta, I_rel
13.9, 27
25.5, 62
25.8, 20
28.1, 69
29.6, 21
30.7, 35
31.5, 100
34.7, 24
40.9, 21
41.4, 28


[5]
Diffraction record for CoF3. The XRD peak list is simulated, not measured: it uses a structure optimized by DFT (PBE+U) and Cu Kα.
Lines closer than 0.1° are merged.

Structure:
```
data_CoF3
_cell_length_a 8.7117
_cell_length_b 5.0663
_cell_length_c 5.3652
_cell_angle_alpha 90.00
_cell_angle_beta 123.53
_cell_angle_gamma 90.00
_space_group_name_H-M_alt 'C 1 2/c 1'
_space_group_IT_number 15
_space_group_name_Hall '-C 2yc'
loop_
_atom_site_label
_atom_site_type_symbol
_atom_site_fract_x
_atom_site_fract_y
_atom_site_fract_z
Co1 Co 0.2500 0.2500 0.0000
F1 F 0.0000 0.1142 0.7500
F2 F 0.1840 0.4436 0.2237
```

The 10 most intense peaks (2θ = 10–90°), sorted by position:
2theta, I_rel
24.2, 100
24.5, 45
33.8, 26
40.9, 17
41.3, 10
49.6, 18
54.6, 13
54.8, 15
55.2, 13
63.8, 12


[6]
Diffraction record for MgMnP2O7. The XRD peak list is simulated, not measured: it uses a structure optimized by DFT (PBE+U) and Cu Kα.
Lines closer than 0.1° are merged.

Structure:
```
data_MgMnP2O7
_cell_length_a 6.3069
_cell_length_b 6.7717
_cell_length_c 7.0750
_cell_angle_alpha 77.68
_cell_angle_beta 64.26
_cell_angle_gamma 80.29
_space_group_name_H-M_alt 'P -1'
_space_group_IT_number 2
_space_group_name_Hall '-P 1'
loop_
_atom_site_label
_atom_site_type_symbol
_atom_site_fract_x
_atom_site_fract_y
_atom_site_fract_z
Mg1 Mg 0.1946 0.1648 0.3805
Mn1 Mn 0.3983 0.3092 0.7136
P1 P 0.1437 0.6347 0.1931
P2 P 0.2653 0.8223 0.7419
O1 O 0.0926 0.7543 0.9858
O2 O 0.0979 0.9245 0.6369
O3 O 0.1064 0.3341 0.6278
O4 O 0.2175 0.4143 0.1604
O5 O 0.3202 0.7498 0.2083
O6 O 0.4059 0.6340 0.6446
O7 O 0.4409 0.9639 0.7293
```

The 10 most intense peaks (2θ = 10–90°), sorted by position:
2theta, I_rel
16.2, 38
27.1, 45
28.2, 56
28.4, 100
28.5, 60
28.7, 46
29.6, 69
32.6, 46
38.0, 34
41.6, 27


[7]
Diffraction record for NiMoO3. The XRD peak list is simulated, not measured: it uses a structure optimized by DFT (PBE+U) and Cu Kα.
Lines closer than 0.1° are merged.

Structure:
```
data_NiMoO3
_cell_length_a 3.9276
_cell_length_b 3.9276
_cell_length_c 3.9276
_cell_angle_alpha 90.00
_cell_angle_beta 90.00
_cell_angle_gamma 90.00
_space_group_name_H-M_alt 'P m -3 m'
_space_group_IT_number 221
_space_group_name_Hall '-P 4 2 3'
loop_
_atom_site_label
_atom_site_type_symbol
_atom_site_fract_x
_atom_site_fract_y
_atom_site_fract_z
Ni1 Ni 0.0000 0.0000 0.0000
Mo1 Mo 0.5000 0.5000 0.5000
O1 O 0.0000 0.5000 0.5000
```

The 9 most intense peaks (2θ = 10–90°), sorted by position:
2theta, I_rel
22.6, 15
32.2, 100
46.2, 36
52.1, 5
57.5, 37
67.4, 21
72.1, 2
76.7, 16
85.7, 7


[8]
Diffraction record for Li9Mn2Co5O16. The XRD peak list is simulated, not measured: it uses a structure optimized by DFT (PBE+U) and Cu Kα.
Lines closer than 0.1° are merged.

Structure:
```
data_Li9Mn2Co5O16
_cell_length_a 5.0450
_cell_length_b 6.5896
_cell_length_c 8.8971
_cell_angle_alpha 97.82
_cell_angle_beta 96.29
_cell_angle_gamma 97.55
_space_group_name_H-M_alt 'P -1'
_space_group_IT_number 2
_space_group_name_Hall '-P 1'
loop_
_atom_site_label
_atom_site_type_symbol
_atom_site_fract_x
_atom_site_fract_y
_atom_site_fract_z
Li1 Li 0.0000 0.0000 0.0000
Li2 Li 0.2420 0.6908 0.8170
Li3 Li 0.2435 0.4365 0.0608
Li4 Li 0.2452 0.9375 0.5660
Li5 Li 0.2496 0.1876 0.3097
Mn1 Mn 0.4975 0.8757 0.1205
Co1 Co 0.0000 0.5000 0.5000
Co2 Co 0.0005 0.2424 0.7576
Co3 Co 0.4948 0.3704 0.6258
O1 O 0.1338 0.4900 0.2873
O2 O 0.1390 0.9923 0.7846
O3 O 0.1401 0.2299 0.5370
O4 O 0.1454 0.7273 0.0411
O5 O 0.3605 0.6422 0.5853
O6 O 0.3797 0.3855 0.8427
O7 O 0.3799 0.9021 0.3245
O8 O 0.3955 0.1392 0.0831
```

The 10 most intense peaks (2θ = 10–90°), sorted by position:
2theta, I_rel
18.3, 100
35.6, 14
36.0, 13
36.2, 13
43.0, 29
43.6, 27
44.0, 27
62.6, 8
62.9, 8
63.2, 15


Repeat the eighth record exactly.
Diffraction record for Li9Mn2Co5O16. The XRD peak list is simulated, not measured: it uses a structure optimized by DFT (PBE+U) and Cu Kα.
Lines closer than 0.1° are merged.

Structure:
```
data_Li9Mn2Co5O16
_cell_length_a 5.0450
_cell_length_b 6.5896
_cell_length_c 8.8971
_cell_angle_alpha 97.82
_cell_angle_beta 96.29
_cell_angle_gamma 97.55
_space_group_name_H-M_alt 'P -1'
_space_group_IT_number 2
_space_group_name_Hall '-P 1'
loop_
_atom_site_label
_atom_site_type_symbol
_atom_site_fract_x
_atom_site_fract_y
_atom_site_fract_z
Li1 Li 0.0000 0.0000 0.0000
Li2 Li 0.2420 0.6908 0.8170
Li3 Li 0.2435 0.4365 0.0608
Li4 Li 0.2452 0.9375 0.5660
Li5 Li 0.2496 0.1876 0.3097
Mn1 Mn 0.4975 0.8757 0.1205
Co1 Co 0.0000 0.5000 0.5000
Co2 Co 0.0005 0.2424 0.7576
Co3 Co 0.4948 0.3704 0.6258
O1 O 0.1338 0.4900 0.2873
O2 O 0.1390 0.9923 0.7846
O3 O 0.1401 0.2299 0.5370
O4 O 0.1454 0.7273 0.0411
O5 O 0.3605 0.6422 0.5853
O6 O 0.3797 0.3855 0.8427
O7 O 0.3799 0.9021 0.3245
O8 O 0.3955 0.1392 0.0831
```

The 10 most intense peaks (2θ = 10–90°), sorted by position:
2theta, I_rel
18.3, 100
35.6, 14
36.0, 13
36.2, 13
43.0, 29
43.6, 27
44.0, 27
62.6, 8
62.9, 8
63.2, 15